# 1
Calculated XRD peak list
Compound: CeSmI5
Radiation: copper Kα
Structure: a crystal structure in Alexandria, relaxed with PBE
Kinematic intensities with the Lorentz-polarization factor, no thermal factor.

Top 6 peaks for 10 to 80 degrees two-theta, by angle:
10.78°, 8.203 Å, I 100, (1 0 -1); 26.03°, 3.423 Å, I 49, (1 1 2); 28.18°, 3.167 Å, I 40, (2 1 0); 28.52°, 3.129 Å, I 61, (1 1 -3); 29.84°, 2.994 Å, I 46, (0 0 5); 41.90°, 2.156 Å, I 35, (0 2 0)

```
data_CeSmI5
_space_group_name_H-M_alt 'P 1 21/m 1'
_space_group_IT_number 11
_space_group_name_Hall '-P 2yb'
_cell_length_a 9.3566
_cell_length_b 4.3126
_cell_length_c 14.9941
_cell_angle_alpha 90.00
_cell_angle_beta 94.42
_cell_angle_gamma 90.00
loop_
_atom_site_label
_atom_site_type_symbol
_atom_site_fract_x
_atom_site_fract_y
_atom_site_fract_z
Ce1 Ce 0.0984 0.2500 0.1497
Sm1 Sm 0.4146 0.7500 0.3443
I1 I 0.0702 0.7500 0.3105
I2 I 0.1419 0.2500 0.9290
I3 I 0.3213 0.2500 0.4842
I4 I 0.3518 0.7500 0.1303
I5 I 0.3673 0.7500 0.7106
```

# 2
Calculated XRD peak list
Compound: Pu2MgGe
Radiation: copper Kα
Structure: a crystal structure in Alexandria, relaxed with PBE
Kinematic intensities with the Lorentz-polarization factor, no thermal factor.

Top 6 peaks for 10 to 80 degrees two-theta, by angle:
18.97°, 4.678 Å, I 45, (0 0 1); 28.90°, 3.089 Å, I 33, (1 1 0); 34.80°, 2.578 Å, I 100, (1 1 1); 41.33°, 2.185 Å, I 31, (2 0 0); 57.75°, 1.596 Å, I 24, (2 0 2); 71.15°, 1.325 Å, I 26, (3 1 1)

```
data_Pu2MgGe
_space_group_name_H-M_alt 'P 4/m m m'
_space_group_IT_number 123
_space_group_name_Hall '-P 4 2'
_cell_length_a 4.3692
_cell_length_b 4.3692
_cell_length_c 4.6777
_cell_angle_alpha 90.00
_cell_angle_beta 90.00
_cell_angle_gamma 90.00
loop_
_atom_site_label
_atom_site_type_symbol
_atom_site_fract_x
_atom_site_fract_y
_atom_site_fract_z
Pu1 Pu 0.0000 0.5000 0.0000
Mg1 Mg 0.0000 0.0000 0.5000
Ge1 Ge 0.5000 0.5000 0.5000
```

# 3
Calculated XRD peak list
Compound: La12Nd7Sc
Radiation: copper Kα
Structure: a crystal structure in Alexandria, relaxed with PBE
Kinematic intensities with the Lorentz-polarization factor, no thermal factor.

Top 6 peaks for 10 to 80 degrees two-theta, by angle:
27.17°, 3.283 Å, I 28, (3 3 0); 29.64°, 3.014 Å, I 100, (0 5 1); 32.36°, 2.766 Å, I 21, (5 1 1); 32.79°, 2.731 Å, I 22, (5 2 0); 38.45°, 2.341 Å, I 20, (5 0 2); 39.55°, 2.279 Å, I 19, (7 0 1)

```
data_La12Nd7Sc
_space_group_name_H-M_alt 'R -3 m'
_space_group_IT_number 166
_space_group_name_Hall '-R 3 2"'
_cell_length_a 19.6957
_cell_length_b 19.6957
_cell_length_c 6.4380
_cell_angle_alpha 90.00
_cell_angle_beta 90.00
_cell_angle_gamma 120.00
loop_
_atom_site_label
_atom_site_type_symbol
_atom_site_fract_x
_atom_site_fract_y
_atom_site_fract_z
La1 La 0.0000 0.4074 0.0000
La2 La 0.0968 0.5484 0.4830
Nd1 Nd 0.0000 0.0000 0.0000
Nd2 Nd 0.0829 0.1658 0.3059
Sc1 Sc 0.0000 0.0000 0.5000
```

What did the second record say?
Calculated XRD peak list
Compound: Pu2MgGe
Radiation: copper Kα
Structure: a crystal structure in Alexandria, relaxed with PBE
Kinematic intensities with the Lorentz-polarization factor, no thermal factor.

Top 6 peaks for 10 to 80 degrees two-theta, by angle:
18.97°, 4.678 Å, I 45, (0 0 1); 28.90°, 3.089 Å, I 33, (1 1 0); 34.80°, 2.578 Å, I 100, (1 1 1); 41.33°, 2.185 Å, I 31, (2 0 0); 57.75°, 1.596 Å, I 24, (2 0 2); 71.15°, 1.325 Å, I 26, (3 1 1)

```
data_Pu2MgGe
_space_group_name_H-M_alt 'P 4/m m m'
_space_group_IT_number 123
_space_group_name_Hall '-P 4 2'
_cell_length_a 4.3692
_cell_length_b 4.3692
_cell_length_c 4.6777
_cell_angle_alpha 90.00
_cell_angle_beta 90.00
_cell_angle_gamma 90.00
loop_
_atom_site_label
_atom_site_type_symbol
_atom_site_fract_x
_atom_site_fract_y
_atom_site_fract_z
Pu1 Pu 0.0000 0.5000 0.0000
Mg1 Mg 0.0000 0.0000 0.5000
Ge1 Ge 0.5000 0.5000 0.5000
```